Calculated powder diffractogram
Compound: LiSn4
Radiation: Cu Ka
Structure: DFT lattice parameters and positions (GGA-PBE)

Main lines, in order of rising 2θ (10° ≤ 2θ ≤ 80°):
2θ = 28.09°, I 100.0, (0 0 2)
2θ = 34.58°, I 73.4, (2 1 1)
2θ = 40.14°, I 58.9, (2 0 2)
2θ = 54.00°, I 28.0, (2 1 3)
2θ = 61.96°, I 40.2, (4 1 1)
2θ = 76.44°, I 25.6, (4 1 3)

Structure:
a = 6.3542 Å, b = 6.3542 Å, c = 6.3534 Å
α = 90.00°, β = 90.00°, γ = 90.00°
Space group P4/nbm (No. 125, origin choice 2)
Asymmetric unit:
Li (0.2500, 0.2500, 0.0000) [2 per cell]
Sn (0.0521, 0.5521, 0.2745) [8 per cell]

Calculated powder diffractogram
Compound: LaSiBO5
Radiation: Cu Ka
Structure: DFT lattice parameters and positions (GGA-PBE)

Main lines, in order of rising 2θ (10° ≤ 2θ ≤ 80°):
2θ = 19.75°, I 94.0, (0 1 1)
2θ = 25.65°, I 90.9, (1 1 0)
2θ = 29.70°, I 59.8, (2 0 0)
2θ = 30.32°, I 100.0, (1 0 2)
2θ = 41.91°, I 59.1, (3 -1 1)
2θ = 48.23°, I 70.5, (3 -2 2)

Structure:
a = 6.9468 Å, b = 6.9468 Å, c = 6.7644 Å
α = 90.00°, β = 90.00°, γ = 120.00°
Space group P3_1 (No. 144)
Asymmetric unit:
La (0.9996, 0.5878, 0.0000) [3 per cell]
Si (0.4154, 0.4138, 0.8321) [3 per cell]
B (0.0140, 0.1141, 0.0261) [3 per cell]
O (0.0065, 0.9477, 0.8908) [3 per cell]
O (0.1367, 0.5295, 0.3386) [3 per cell]
O (0.1529, 0.8057, 0.6427) [3 per cell]
O (0.3302, 0.1908, 0.6850) [3 per cell]
O (0.5447, 0.1477, 0.3286) [3 per cell]

Calculated powder diffractogram
Compound: Na6HfF12
Radiation: Cu Ka
Structure: DFT lattice parameters and positions (GGA-PBE)

Main lines, in order of rising 2θ (10° ≤ 2θ ≤ 80°):
2θ = 13.79°, I 100.0, (1 0 1)
2θ = 17.58°, I 43.2, (1 1 0)
2θ = 21.34°, I 48.8, (0 1 2)
2θ = 22.41°, I 45.5, (0 2 1)
2θ = 28.63°, I 92.0, (3 -1 1)
2θ = 47.22°, I 43.5, (3 -1 4)

Structure:
a = 10.0885 Å, b = 10.0885 Å, c = 9.4743 Å
α = 90.00°, β = 90.00°, γ = 120.00°
Space group R-3 (No. 148, hexagonal axes)
Asymmetric unit:
Na (0.0545, 0.7981, 0.1473) [18 per cell]
Hf (0.0000, 0.0000, 0.5000) [3 per cell]
F (0.0459, 0.8602, 0.3856) [18 per cell]
F (0.0521, 0.8161, 0.8986) [18 per cell]

Calculated powder diffractogram
Compound: SmBeNi
Radiation: Cu Ka
Structure: DFT lattice parameters and positions (GGA-PBE)

Main lines, in order of rising 2θ (10° ≤ 2θ ≤ 80°):
2θ = 26.01°, I 45.4, (1 0 0)
2θ = 35.06°, I 100.0, (1 0 1)
2θ = 45.87°, I 30.7, (1 1 0)
2θ = 59.02°, I 21.8, (2 0 1)
2θ = 67.96°, I 18.5, (1 1 2)
2θ = 77.82°, I 19.1, (2 1 1)

Structure:
a = 3.9564 Å, b = 3.9564 Å, c = 3.8487 Å
α = 90.00°, β = 90.00°, γ = 120.00°
Space group P-6m2 (No. 187)
Asymmetric unit:
Sm (0.0000, 0.0000, 0.0000) [1 per cell]
Be (0.3333, 0.6667, 0.5000) [1 per cell]
Ni (0.6667, 0.3333, 0.5000) [1 per cell]

Calculated powder diffractogram
Compound: LiPu6Rh5
Radiation: Cu Ka
Structure: DFT lattice parameters and positions (GGA-PBE)

Main lines, in order of rising 2θ (10° ≤ 2θ ≤ 80°):
2θ = 26.06°, I 24.9, (1 0 3)
2θ = 36.78°, I 100.0, (1 2 3)
2θ = 37.02°, I 23.0, (0 0 6)
2θ = 37.36°, I 25.1, (2 0 0)
2θ = 53.61°, I 16.1, (2 0 6)
2θ = 67.01°, I 17.7, (3 2 3)

Structure:
a = 4.8142 Å, b = 6.9864 Å, c = 14.5680 Å
α = 90.00°, β = 90.00°, γ = 90.00°
Space group Immm (No. 71)
Asymmetric unit:
Li (0.0000, 0.0000, 0.0000) [2 per cell]
Pu (0.0000, 0.2338, 0.5000) [4 per cell]
Pu (0.0000, 0.2596, 0.1751) [8 per cell]
Rh (0.0000, 0.0000, 0.3352) [4 per cell]
Rh (0.0000, 0.5000, 0.0000) [2 per cell]
Rh (0.0000, 0.5000, 0.3532) [4 per cell]

Calculated powder diffractogram
Compound: B7C5
Radiation: Cu Ka
Structure: DFT lattice parameters and positions (GGA-PBE)

Main lines, in order of rising 2θ (10° ≤ 2θ ≤ 80°):
2θ = 11.21°, I 100.0, (2 0 0)
2θ = 22.52°, I 84.6, (4 0 0)
2θ = 34.07°, I 16.0, (6 0 0)
2θ = 40.45°, I 25.6, (0 0 2)
2θ = 40.65°, I 42.2, (3 1 -1)
2θ = 70.38°, I 20.7, (0 2 0)

Structure:
a = 16.4004 Å, b = 2.6763 Å, c = 4.6333 Å
α = 90.00°, β = 105.67°, γ = 90.00°
Space group Cm (No. 8)
Asymmetric unit:
B (0.0000, 0.0000, 0.0000) [2 per cell]
B (0.9997, 0.5000, 0.4912) [2 per cell]
B (0.0562, 0.5000, 0.8809) [2 per cell]
B (0.0589, 0.0000, 0.3883) [2 per cell]
B (0.1700, 0.5000, 0.3253) [2 per cell]
B (0.3925, 0.5000, 0.5598) [2 per cell]
B (0.3926, 0.0000, 0.0602) [2 per cell]
C (0.1623, 0.5000, 0.9711) [2 per cell]
C (0.1641, 0.0000, 0.4927) [2 per cell]
C (0.1699, 0.0000, 0.8171) [2 per cell]
C (0.3994, 0.0000, 0.4001) [2 per cell]
C (0.3999, 0.5000, 0.9005) [2 per cell]

Calculated powder diffractogram
Compound: Li2SbPd8
Radiation: Cu Ka
Structure: DFT lattice parameters and positions (GGA-PBE)

Main lines, in order of rising 2θ (10° ≤ 2θ ≤ 80°):
2θ = 29.01°, I 29.1, (1 1 2)
2θ = 39.50°, I 29.5, (1 1 4)
2θ = 40.22°, I 24.3, (0 3 1)
2θ = 40.91°, I 100.0, (1 2 3)
2θ = 42.54°, I 29.2, (2 0 0)
2θ = 46.27°, I 18.9, (0 0 6)

Structure:
a = 4.2504 Å, b = 6.8512 Å, c = 11.7718 Å
α = 90.00°, β = 90.00°, γ = 90.00°
Space group Immm (No. 71)
Asymmetric unit:
Li (0.0000, 0.0000, 0.1994) [4 per cell]
Sb (0.0000, 0.0000, 0.5000) [2 per cell]
Pd (0.0000, 0.1899, 0.0000) [4 per cell]
Pd (0.0000, 0.2860, 0.3446) [8 per cell]
Pd (0.0000, 0.5000, 0.1494) [4 per cell]

Calculated powder diffractogram
Compound: V2Ir5Ru5
Radiation: Cu Ka
Structure: DFT lattice parameters and positions (GGA-PBE)

Main lines, in order of rising 2θ (10° ≤ 2θ ≤ 80°):
2θ = 40.70°, I 100.0, (1 2 2)
2θ = 40.85°, I 98.9, (0 0 4)
2θ = 47.40°, I 64.4, (2 1 3)
2θ = 47.51°, I 32.0, (1 2 -2)
2θ = 69.23°, I 20.6, (1 2 6)
2θ = 69.34°, I 30.7, (3 3 1)

Structure:
a = 4.6937 Å, b = 4.7007 Å, c = 8.9789 Å
α = 79.74°, β = 84.76°, γ = 60.07°
Space group P-1 (No. 2)
Asymmetric unit:
V (0.1670, 0.4168, 0.2487) [2 per cell]
Ir (0.1638, 0.9178, 0.7488) [2 per cell]
Ir (0.1663, 0.1706, 0.9983) [2 per cell]
Ir (0.5000, 0.0000, 0.5000) [1 per cell]
Ru (0.1663, 0.6652, 0.5032) [2 per cell]
Ru (0.4940, 0.2561, 0.7482) [2 per cell]
Ru (0.5000, 0.5000, 0.0000) [1 per cell]